Computed powder diffractogram
Compound: Tb7HoEr3
Radiation: Cu Kα X-rays
Structure: a crystal structure in Alexandria, relaxed with GGA-PBE
Intensities are scaled so that the largest is 100.

Most intense lines, 10° ≤ 2θ ≤ 90°, low angle first:
hkl 1 3 0, 2θ = 25.3°, 3.514 Å, rel. 17; hkl 4 0 -1, 2θ = 28.6°, 3.118 Å, rel. 11; hkl 2 0 -2, 2θ = 31.0°, 2.884 Å, rel. 39; hkl 0 4 0, 2θ = 32.2°, 2.778 Å, rel. 31; hkl 2 2 1, 2θ = 32.9°, 2.719 Å, rel. 100; hkl 6 0 -2, 2θ = 45.3°, 2.002 Å, rel. 11; hkl 2 4 -2, 2θ = 45.4°, 1.999 Å, rel. 13; hkl 0 2 3, 2θ = 56.4°, 1.631 Å, rel. 22

Cell and atoms:
a b c (Å): 12.5279 11.0971 5.7681
angles (deg): 90.00 117.32 90.00
Space group C2/m (No. 12)
Symmetry-distinct sites (fractional):
Tb 0.0000 0.0000 0.0000 x2
Tb 0.1956 0.2940 0.6953 x8
Tb 0.2084 0.5000 0.2066 x4
Ho 0.0000 0.0000 0.5000 x2
Er 0.0000 0.2946 0.0000 x4
Er 0.0000 0.5000 0.5000 x2

---

Computed powder diffractogram
Compound: CuAg5S4
Radiation: Cu Kα X-rays
Structure: a crystal structure in Alexandria, relaxed with GGA-PBE
Intensities are scaled so that the largest is 100.

Most intense lines, 10° ≤ 2θ ≤ 90°, low angle first:
hkl 2 0 0, 2θ = 11.3°, 7.858 Å, rel. 26; hkl 3 1 0, 2θ = 30.1°, 2.965 Å, rel. 100; hkl 6 0 0, 2θ = 34.2°, 2.619 Å, rel. 33; hkl 6 0 -2, 2θ = 35.4°, 2.536 Å, rel. 45; hkl 3 1 -2, 2θ = 37.0°, 2.429 Å, rel. 69; hkl 1 1 2, 2θ = 40.2°, 2.246 Å, rel. 52; hkl 7 1 0, 2θ = 47.8°, 1.905 Å, rel. 28; hkl 0 2 0, 2θ = 50.8°, 1.799 Å, rel. 25

Cell and atoms:
a b c (Å): 16.9706 3.5974 6.7735
angles (deg): 90.00 112.18 90.00
Space group C2/m (No. 12)
Symmetry-distinct sites (fractional):
Cu 0.0000 0.0000 0.0000 x2
Ag 0.0000 0.0000 0.5000 x2
Ag 0.1856 0.5000 0.1169 x4
Ag 0.1947 0.5000 0.5639 x4
S 0.0576 0.5000 0.2168 x4
S 0.1507 0.0000 0.7850 x4